Record 1
This entry pairs a crystal structure of TbGeBrN2 with its simulated PXRD pattern. Radiation: a wavelength of 1.5418 Å. Structure: a cell relaxed with PBE.
Peak positions follow from Bragg's law for the DFT cell and can differ from measured ones.

Main lines, most intense first (10 to 80 degrees two-theta):
31.52°, I 100; 11.26°, I 98; 30.27°, I 57; 28.12°, I 40; 46.18°, I 38; 34.35°, I 33; 28.69°, I 29; 25.74°, I 26

Atomic structure:
abc: 7.072 3.577 8.082
angles: 90.00 103.55 90.00
Space group P2_1/m (No. 11)
One atom of each set of equivalent atoms:
1 Tb 0.203 0.250 0.481 [2 per cell]
2 Ge 0.043 0.250 0.880 [2 per cell]
3 Br 0.480 0.750 0.711 [2 per cell]
4 N 0.027 0.750 0.356 [2 per cell]
5 N 0.125 0.750 0.966 [2 per cell]



Record 2
This entry pairs a crystal structure of Na2Ge4Br9 with its simulated PXRD pattern. Radiation: a wavelength of 1.5418 Å. Structure: a cell relaxed with PBE.
Peak positions follow from Bragg's law for the DFT cell and can differ from measured ones.

Main lines, most intense first (10 to 80 degrees two-theta):
27.85°, I 100; 36.25°, I 55; 43.09°, I 41; 47.40°, I 22; 52.09°, I 15; 14.06°, I 15; 22.49°, I 14; 16.56°, I 11

Atomic structure:
abc: 7.269 7.271 20.317
angles: 90.03 90.07 119.97
Space group P-1 (No. 2)
One atom of each set of equivalent atoms:
1 Na 0.002 0.000 0.154 [2 per cell]
2 Na 0.002 0.002 0.655 [2 per cell]
3 Ge 0.332 0.666 0.515 [2 per cell]
4 Ge 0.332 0.667 0.017 [2 per cell]
5 Ge 0.334 0.664 0.320 [2 per cell]
6 Ge 0.336 0.669 0.819 [2 per cell]
7 Br 0.001 0.331 0.250 [2 per cell]
8 Br 0.005 0.639 0.416 [2 per cell]
9 Br 0.006 0.367 0.917 [2 per cell]
10 Br 0.333 0.001 0.250 [2 per cell]
11 Br 0.333 0.332 0.750 [2 per cell]
12 Br 0.358 0.992 0.916 [2 per cell]
13 Br 0.359 0.366 0.415 [2 per cell]
14 Br 0.367 0.006 0.583 [2 per cell]
15 Br 0.368 0.361 0.084 [2 per cell]



Record 3
This entry pairs a crystal structure of Na2Ge2Br7 with its simulated PXRD pattern. Radiation: a wavelength of 1.5418 Å. Structure: a cell relaxed with PBE.
Peak positions follow from Bragg's law for the DFT cell and can differ from measured ones.

Main lines, most intense first (10 to 80 degrees two-theta):
20.25°, I 100; 25.41°, I 83; 39.55°, I 59; 20.36°, I 59; 25.90°, I 57; 17.37°, I 54; 35.12°, I 45; 30.26°, I 42

Atomic structure:
abc: 11.115 11.970 7.011
angles: 90.00 113.17 90.00
Space group C2/m (No. 12)
One atom of each set of equivalent atoms:
1 Na 0.000 0.195 0.000 [4 per cell]
2 Ge 0.206 0.500 0.393 [4 per cell]
3 Br 0.000 0.500 0.500 [2 per cell]
4 Br 0.081 0.000 0.286 [4 per cell]
5 Br 0.234 0.336 0.188 [8 per cell]



Record 4
This entry pairs a crystal structure of Na2GeBr4 with its simulated PXRD pattern. Radiation: a wavelength of 1.5418 Å. Structure: a cell relaxed with PBE.
Peak positions follow from Bragg's law for the DFT cell and can differ from measured ones.

Main lines, most intense first (10 to 80 degrees two-theta):
29.27°, I 100; 41.88°, I 87; 25.28°, I 61; 12.56°, I 27; 38.33°, I 24; 68.81°, I 24; 51.91°, I 22; 76.48°, I 21

Atomic structure:
abc: 8.625 8.625 12.213
angles: 90.00 90.00 90.00
Space group P4_122 (No. 91)
One atom of each set of equivalent atoms:
1 Na 0.000 0.257 0.000 [4 per cell]
2 Na 0.249 0.249 0.375 [4 per cell]
3 Ge 0.245 0.500 0.750 [4 per cell]
4 Br 0.030 0.265 0.753 [8 per cell]
5 Br 0.256 0.489 0.983 [8 per cell]



Record 5
This entry pairs a crystal structure of NaGeBr3 with its simulated PXRD pattern. Radiation: a wavelength of 1.5418 Å. Structure: a cell relaxed with PBE.
Peak positions follow from Bragg's law for the DFT cell and can differ from measured ones.

Main lines, most intense first (10 to 80 degrees two-theta):
27.77°, I 100; 35.77°, I 47; 43.28°, I 35; 16.49°, I 29; 46.45°, I 24; 25.57°, I 16; 52.21°, I 14; 33.32°, I 13

Atomic structure:
abc: 12.539 7.243 8.134
angles: 90.00 121.05 90.00
Space group Cc (No. 9)
One atom of each set of equivalent atoms:
1 Na 0.000 0.250 0.000 [4 per cell]
2 Ge 0.200 0.250 0.600 [4 per cell]
3 Br 0.112 0.072 0.784 [4 per cell]
4 Br 0.247 0.436 0.284 [4 per cell]
5 Br 0.425 0.114 0.784 [4 per cell]



Record 6
This entry pairs a crystal structure of Na2Ge3Br8 with its simulated PXRD pattern. Radiation: a wavelength of 1.5418 Å. Structure: a cell relaxed with PBE.
Peak positions follow from Bragg's law for the DFT cell and can differ from measured ones.

Main lines, most intense first (10 to 80 degrees two-theta):
32.92°, I 100; 26.52°, I 60; 12.39°, I 59; 32.44°, I 54; 44.32°, I 48; 38.56°, I 43; 44.04°, I 25; 26.37°, I 25

Atomic structure:
abc: 14.950 8.225 7.067
angles: 90.00 106.99 90.00
Space group C2/m (No. 12)
One atom of each set of equivalent atoms:
1 Na 0.237 0.000 0.151 [4 per cell]
2 Ge 0.000 0.241 0.500 [4 per cell]
3 Ge 0.000 0.500 0.000 [2 per cell]
4 Br 0.113 0.000 0.424 [4 per cell]
5 Br 0.114 0.500 0.400 [4 per cell]
6 Br 0.116 0.263 0.897 [8 per cell]



Record 7
This entry pairs a crystal structure of NaGe2Br4 with its simulated PXRD pattern. Radiation: a wavelength of 1.5418 Å. Structure: a cell relaxed with PBE.
Peak positions follow from Bragg's law for the DFT cell and can differ from measured ones.

Main lines, most intense first (10 to 80 degrees two-theta):
27.71°, I 100; 31.81°, I 66; 15.96°, I 62; 42.77°, I 55; 49.18°, I 46; 42.34°, I 31; 32.24°, I 26; 74.25°, I 18

Atomic structure:
abc: 7.852 7.852 8.065
angles: 90.00 90.00 90.00
Space group I4/m (No. 87)
One atom of each set of equivalent atoms:
1 Na 0.000 0.000 0.000 [2 per cell]
2 Ge 0.000 0.500 0.250 [4 per cell]
3 Br 0.175 0.678 0.500 [8 per cell]



Record 8
This entry pairs a crystal structure of Na2GePbBr6 with its simulated PXRD pattern. Radiation: a wavelength of 1.5418 Å. Structure: a cell relaxed with PBE.
Peak positions follow from Bragg's law for the DFT cell and can differ from measured ones.

Main lines, most intense first (10 to 80 degrees two-theta):
27.22°, I 100; 35.89°, I 76; 16.23°, I 75; 41.69°, I 48; 47.26°, I 28; 22.33°, I 25; 32.80°, I 24; 40.87°, I 20

Atomic structure:
abc: 7.501 7.506 7.993
angles: 118.00 90.02 119.96
Space group P1 (No. 1)
One atom of each set of equivalent atoms:
1 Na 0.000 0.000 0.000 [1 per cell]
2 Na 0.493 0.986 0.479 [1 per cell]
3 Ge 0.809 0.617 0.423 [1 per cell]
4 Pb 0.302 0.605 0.906 [1 per cell]
5 Br 0.075 0.488 0.188 [1 per cell]
6 Br 0.183 0.072 0.672 [1 per cell]
7 Br 0.412 0.112 0.187 [1 per cell]
8 Br 0.600 0.784 0.673 [1 per cell]
9 Br 0.701 0.775 0.188 [1 per cell]
10 Br 0.889 0.489 0.673 [1 per cell]